TiAg3S4: theoretical powder XRD pattern (CuKα), based on a crystal structure in Alexandria, relaxed with PBE.
Lines closer than 0.1° are merged.

Most intense lines, 2θ from 5° to 70°, in order of rising 2θ:
2θ (°), intensity, (hkl)
27.1, 100, 1 1 2
31.3, 13, 2 0 0
31.4, 7, 0 0 4
44.9, 56, 2 2 0
53.2, 28, 3 1 2
53.3, 14, 1 1 6

Atomic structure:
```
TiAg3S4
1.0
5.711 0.000 0.000
0.000 5.711 0.000
0.000 0.000 11.386
Ti Ag S
2 6 8
Direct
0.000 0.000 0.000 Ti
0.500 0.500 0.500 Ti
0.000 0.000 0.500 Ag
0.000 0.500 0.250 Ag
0.000 0.500 0.750 Ag
0.500 0.000 0.250 Ag
0.500 0.000 0.750 Ag
0.500 0.500 0.000 Ag
0.231 0.231 0.885 S
0.231 0.769 0.115 S
0.269 0.269 0.385 S
0.269 0.731 0.615 S
0.731 0.269 0.615 S
0.731 0.731 0.385 S
0.769 0.231 0.115 S
0.769 0.769 0.885 S
```